LaMnGe2Ru: computed X-ray diffraction stick pattern (Cu Kα X-rays), based on a cell relaxed with PBE.
Kinematic intensities with the Lorentz-polarization factor, no thermal factor.

Peak list (6 most intense, 2θ from 15° to 90°, most intense first)
2theta	d (Å)	intensity
34.7	2.584	100
32.8	2.735	89
43.6	2.075	60
55.6	1.653	42
47.1	1.931	30
66.1	1.414	21

a = 6.1944 Å, b = 6.1944 Å, c = 6.1944 Å
α = 140.86°, β = 140.86°, γ = 56.55°
Atoms (fractional coordinates):
La  0.0000  0.0000  0.0000
Mn  0.7500  0.2500  0.5000
Ge  0.3749  0.3749  0.0000
Ge  0.6251  0.6251  0.0000
Ru  0.2500  0.7500  0.5000